For PrNd2DyTm, the GGA-PBE geometry in Alexandria gives the computed powder diffraction line list in this record (Cu Kα (λ = 1.5418 Å)).
Intensities are scaled so that the largest is 100.

Most intense lines, 2θ = 5–70°, by angle:
- 2θ 21.19, 4.194 Å, I 41
- 2θ 28.41, 3.142 Å, I 92
- 2θ 28.64, 3.117 Å, I 65
- 2θ 28.89, 3.090 Å, I 90
- 2θ 29.51, 3.027 Å, I 100
- 2θ 31.70, 2.822 Å, I 41
- 2θ 32.06, 2.792 Å, I 93
- 2θ 32.58, 2.748 Å, I 45
- 2θ 33.02, 2.713 Å, I 42
- 2θ 33.98, 2.638 Å, I 49
- 2θ 44.55, 2.034 Å, I 43
- 2θ 52.67, 1.738 Å, I 45

Structural model:
Cell lengths 8.399, 6.648, 6.242 Å; angles 90.00, 92.93, 90.00 degrees
Space group P2/c (No. 13)
Asymmetric unit:
Pr  0.000  0.000  0.000 x2
Nd  0.309  0.309  0.234 x4
Dy  0.000  0.430  0.750 x2
Tm  0.500  0.160  0.750 x2



For Pr5NdDy2Tm, the GGA-PBE geometry in Alexandria gives the computed powder diffraction line list in this record (Cu Kα (λ = 1.5418 Å)).
Intensities are scaled so that the largest is 100.

Most intense lines, 2θ = 5–70°, by angle:
- 2θ 26.53, 3.360 Å, I 59
- 2θ 28.28, 3.156 Å, I 54
- 2θ 29.73, 3.005 Å, I 16
- 2θ 31.54, 2.836 Å, I 100
- 2θ 32.37, 2.766 Å, I 14
- 2θ 34.62, 2.591 Å, I 28
- 2θ 38.22, 2.355 Å, I 17
- 2θ 39.62, 2.275 Å, I 20
- 2θ 40.04, 2.252 Å, I 13
- 2θ 50.09, 1.821 Å, I 18
- 2θ 59.05, 1.564 Å, I 12
- 2θ 61.03, 1.518 Å, I 16

Structural model:
Cell lengths 9.503, 9.503, 14.141 Å; angles 90.00, 90.00, 90.00 degrees
Space group I4/mcm (No. 140)
Asymmetric unit:
Pr  0.000  0.000  0.000 x4
Pr  0.202  0.298  0.132 x16
Nd  0.000  0.000  0.250 x4
Dy  0.108  0.392  0.500 x8
Tm  0.000  0.500  0.250 x4



For Pr2NdDyY2, the GGA-PBE geometry in Alexandria gives the computed powder diffraction line list in this record (Cu Kα (λ = 1.5418 Å)).
Intensities are scaled so that the largest is 100.

Most intense lines, 2θ = 5–70°, by angle:
- 2θ 26.38, 3.378 Å, I 16
- 2θ 28.40, 3.142 Å, I 63
- 2θ 29.17, 3.061 Å, I 19
- 2θ 29.96, 2.982 Å, I 100
- 2θ 30.87, 2.897 Å, I 37
- 2θ 32.86, 2.726 Å, I 15
- 2θ 33.37, 2.685 Å, I 51
- 2θ 35.53, 2.527 Å, I 31
- 2θ 40.48, 2.229 Å, I 34
- 2θ 53.24, 1.721 Å, I 17
- 2θ 62.29, 1.491 Å, I 17
- 2θ 64.32, 1.448 Å, I 15

Structural model:
Cell lengths 6.712, 17.903, 3.440 Å; angles 90.00, 90.00, 90.00 degrees
Space group Pnnm (No. 58)
Asymmetric unit:
Pr  0.227  0.151  0.000 x4
Nd  0.000  0.500  0.500 x2
Dy  0.000  0.000  0.500 x2
Y  0.232  0.321  0.500 x4